V6AgO15: calculated powder diffractogram (Cu Kα, 1.54184 Å), based on a GGA+U-relaxed structure.
Lines closer than 0.1° are merged.

Peak list (8 most intense, 10° ≤ 2θ ≤ 90°, in order of rising 2θ)
19.1 deg, rel. 100, (1 0 2)
19.6 deg, rel. 67, (0 2 0)
20.6 deg, rel. 53, (-1 1 2)
20.9 deg, rel. 59, (1 -1 2)
24.1 deg, rel. 68, (2 -1 0)
28.4 deg, rel. 33, (1 2 2)
31.8 deg, rel. 41, (1 0 -4)
34.4 deg, rel. 21, (1 -3 2)

Structure:
```
V6AgO15
1.0
7.828 0.000 0.000
-0.765 9.039 0.000
-0.397 -0.241 11.924
V Ag O
12 2 30
Direct
0.119 0.081 0.445 V
0.125 0.066 0.939 V
0.227 0.431 0.470 V
0.293 0.396 0.888 V
0.296 0.603 0.720 V
0.330 0.620 0.235 V
0.670 0.380 0.765 V
0.704 0.397 0.280 V
0.707 0.604 0.112 V
0.773 0.569 0.530 V
0.875 0.934 0.061 V
0.881 0.919 0.555 V
0.482 0.011 0.243 Ag
0.518 0.989 0.757 Ag
0.069 0.057 0.087 O
0.071 0.043 0.591 O
0.090 0.270 0.414 O
0.130 0.241 0.870 O
0.169 0.505 0.602 O
0.206 0.566 0.867 O
0.208 0.523 0.143 O
0.242 0.576 0.373 O
0.298 0.019 0.407 O
0.298 0.988 0.910 O
0.339 0.801 0.205 O
0.391 0.773 0.711 O
0.404 0.368 0.002 O
0.412 0.364 0.486 O
0.437 0.436 0.768 O
0.563 0.564 0.232 O
0.588 0.636 0.514 O
0.596 0.632 0.998 O
0.609 0.227 0.289 O
0.661 0.199 0.795 O
0.702 0.012 0.090 O
0.702 0.981 0.593 O
0.758 0.424 0.627 O
0.792 0.477 0.857 O
0.794 0.434 0.133 O
0.831 0.495 0.398 O
0.870 0.759 0.130 O
0.910 0.730 0.586 O
0.929 0.957 0.409 O
0.931 0.943 0.913 O
```